Record 1
This entry pairs a crystal structure of SmBiW2O9 with its theoretical powder diffractogram. Radiation: Cu Kα (λ = 1.5418 Å). Structure: DFT lattice parameters and positions (GGA+U).

Main lines, low angle first (2θ from 10° to 90°):
2θ = 21.32°, d = 4.168 Å, rel. 12.5; 2θ = 26.31°, d = 3.387 Å, rel. 85.9; 2θ = 27.77°, d = 3.212 Å, rel. 19.1; 2θ = 27.89°, d = 3.199 Å, rel. 100.0; 2θ = 30.76°, d = 2.907 Å, rel. 33.4; 2θ = 35.28°, d = 2.544 Å, rel. 22.3; 2θ = 46.12°, d = 1.968 Å, rel. 16.9; 2θ = 47.49°, d = 1.914 Å, rel. 36.4; 2θ = 52.05°, d = 1.757 Å, rel. 13.8; 2θ = 52.95°, d = 1.729 Å, rel. 17.4; 2θ = 53.87°, d = 1.702 Å, rel. 22.4; 2θ = 56.47°, d = 1.629 Å, rel. 13.6

Crystal structure
Cell: 33.342 5.813 3.937 Å, 90.00 90.00 90.00°
Space group Pnma (No. 62)
Inequivalent atoms, fractional coordinates:
Sm  0.166  0.250  0.239 [4 per cell]
Bi  0.026  0.250  0.783 [4 per cell]
W  0.078  0.750  0.266 [4 per cell]
W  0.207  0.750  0.771 [4 per cell]
O  0.029  0.521  0.243 [8 per cell]
O  0.072  0.750  0.748 [4 per cell]
O  0.112  0.504  0.242 [8 per cell]
O  0.179  0.026  0.738 [8 per cell]
O  0.203  0.750  0.248 [4 per cell]
O  0.239  0.250  0.236 [4 per cell]



Record 2
This entry pairs a crystal structure of Mg14CrBiO16 with its theoretical powder diffractogram. Radiation: Cu Kα (λ = 1.5418 Å). Structure: DFT lattice parameters and positions (GGA+U).

Main lines, low angle first (2θ from 10° to 90°):
2θ = 10.05°, d = 8.800 Å, rel. 100.0; 2θ = 14.25°, d = 6.216 Å, rel. 34.7; 2θ = 20.17°, d = 4.403 Å, rel. 38.2; 2θ = 22.62°, d = 3.932 Å, rel. 80.9; 2θ = 28.72°, d = 3.109 Å, rel. 49.3; 2θ = 30.54°, d = 2.927 Å, rel. 34.9; 2θ = 35.36°, d = 2.538 Å, rel. 54.1; 2θ = 40.94°, d = 2.205 Å, rel. 52.9; 2θ = 41.05°, d = 2.199 Å, rel. 54.2; 2θ = 41.20°, d = 2.191 Å, rel. 52.4; 2θ = 59.36°, d = 1.557 Å, rel. 31.5; 2θ = 59.52°, d = 1.553 Å, rel. 61.9

Crystal structure
Cell: 4.398 8.764 8.818 Å, 90.00 90.00 90.00°
Space group Pmmm (No. 47)
Inequivalent atoms, fractional coordinates:
Mg  0.000  0.000  0.000 [1 per cell]
Mg  0.000  0.240  0.241 [4 per cell]
Mg  0.000  0.500  0.000 [1 per cell]
Mg  0.500  0.000  0.245 [2 per cell]
Mg  0.500  0.234  0.500 [2 per cell]
Mg  0.500  0.247  0.000 [2 per cell]
Mg  0.500  0.500  0.234 [2 per cell]
Cr  0.000  0.000  0.500 [1 per cell]
Bi  0.000  0.500  0.500 [1 per cell]
O  0.000  0.000  0.230 [2 per cell]
O  0.000  0.233  0.500 [2 per cell]
O  0.000  0.251  0.000 [2 per cell]
O  0.000  0.500  0.231 [2 per cell]
O  0.500  0.000  0.000 [1 per cell]
O  0.500  0.000  0.500 [1 per cell]
O  0.500  0.251  0.251 [4 per cell]
O  0.500  0.500  0.000 [1 per cell]
O  0.500  0.500  0.500 [1 per cell]



Record 3
This entry pairs a crystal structure of Li4MnTe3O12 with its theoretical powder diffractogram. Radiation: Cu Kα (λ = 1.5418 Å). Structure: DFT lattice parameters and positions (GGA+U).

Main lines, low angle first (2θ from 10° to 90°):
2θ = 19.94°, d = 4.453 Å, rel. 39.6; 2θ = 20.14°, d = 4.409 Å, rel. 10.6; 2θ = 20.36°, d = 4.362 Å, rel. 100.0; 2θ = 31.56°, d = 2.834 Å, rel. 36.3; 2θ = 32.65°, d = 2.742 Å, rel. 31.9; 2θ = 34.78°, d = 2.580 Å, rel. 10.0; 2θ = 35.14°, d = 2.554 Å, rel. 17.6; 2θ = 39.74°, d = 2.268 Å, rel. 12.0; 2θ = 41.51°, d = 2.175 Å, rel. 12.1; 2θ = 50.28°, d = 1.815 Å, rel. 13.1; 2θ = 51.77°, d = 1.766 Å, rel. 14.2; 2θ = 62.58°, d = 1.484 Å, rel. 9.2

Crystal structure
Cell: 5.026 8.817 5.167 Å, 90.00 93.15 90.00°
Space group P2 (No. 3)
Inequivalent atoms, fractional coordinates:
Li  0.000  0.000  0.000 [1 per cell]
Li  0.000  0.314  0.500 [1 per cell]
Li  0.500  0.430  0.500 [1 per cell]
Li  0.500  0.826  0.000 [1 per cell]
Mn  0.500  0.236  0.000 [1 per cell]
Te  0.000  0.528  0.000 [1 per cell]
Te  0.000  0.733  0.500 [1 per cell]
Te  0.500  0.059  0.500 [1 per cell]
O  0.203  0.551  0.333 [2 per cell]
O  0.216  0.692  0.853 [2 per cell]
O  0.241  0.384  0.848 [2 per cell]
O  0.281  0.911  0.316 [2 per cell]
O  0.288  0.081  0.808 [2 per cell]
O  0.306  0.227  0.312 [2 per cell]



Record 4
This entry pairs a crystal structure of Li9Mn7O16 with its theoretical powder diffractogram. Radiation: Cu Kα (λ = 1.5418 Å). Structure: DFT lattice parameters and positions (GGA+U).

Main lines, low angle first (2θ from 10° to 90°):
2θ = 18.24°, d = 4.863 Å, rel. 100.0; 2θ = 33.98°, d = 2.638 Å, rel. 18.4; 2θ = 36.17°, d = 2.484 Å, rel. 11.9; 2θ = 36.33°, d = 2.473 Å, rel. 12.6; 2θ = 40.82°, d = 2.211 Å, rel. 35.6; 2θ = 44.17°, d = 2.050 Å, rel. 27.7; 2θ = 44.20°, d = 2.049 Å, rel. 27.5; 2θ = 61.37°, d = 1.511 Å, rel. 8.5; 2θ = 61.68°, d = 1.504 Å, rel. 8.4; 2θ = 61.78°, d = 1.502 Å, rel. 8.3; 2θ = 62.04°, d = 1.496 Å, rel. 8.2; 2θ = 64.86°, d = 1.438 Å, rel. 7.3

Crystal structure
Cell: 5.050 6.060 9.797 Å, 84.05 86.25 86.97°
Space group P-1 (No. 2)
Inequivalent atoms, fractional coordinates:
Li  0.000  0.000  0.000 [1 per cell]
Li  0.121  0.182  0.244 [2 per cell]
Li  0.122  0.692  0.247 [2 per cell]
Li  0.370  0.559  0.753 [2 per cell]
Li  0.371  0.066  0.752 [2 per cell]
Mn  0.000  0.500  0.000 [1 per cell]
Mn  0.250  0.375  0.500 [2 per cell]
Mn  0.250  0.875  0.500 [2 per cell]
Mn  0.499  0.241  0.001 [2 per cell]
O  0.053  0.078  0.619 [2 per cell]
O  0.053  0.580  0.617 [2 per cell]
O  0.184  0.750  0.895 [2 per cell]
O  0.193  0.293  0.887 [2 per cell]
O  0.307  0.466  0.111 [2 per cell]
O  0.338  0.971  0.116 [2 per cell]
O  0.446  0.670  0.383 [2 per cell]
O  0.448  0.171  0.383 [2 per cell]



Record 5
This entry pairs a crystal structure of Li4Ti3Cr3Te2O16 with its theoretical powder diffractogram. Radiation: Cu Kα (λ = 1.5418 Å). Structure: DFT lattice parameters and positions (GGA+U).

Main lines, low angle first (2θ from 10° to 90°):
2θ = 18.82°, d = 4.714 Å, rel. 71.8; 2θ = 19.12°, d = 4.643 Å, rel. 100.0; 2θ = 24.44°, d = 3.643 Å, rel. 49.1; 2θ = 31.47°, d = 2.843 Å, rel. 46.4; 2θ = 34.27°, d = 2.617 Å, rel. 60.9; 2θ = 34.78°, d = 2.580 Å, rel. 35.2; 2θ = 35.52°, d = 2.527 Å, rel. 37.4; 2θ = 38.79°, d = 2.321 Å, rel. 18.7; 2θ = 43.78°, d = 2.068 Å, rel. 30.6; 2θ = 57.38°, d = 1.606 Å, rel. 17.4; 2θ = 57.49°, d = 1.603 Å, rel. 19.0; 2θ = 60.70°, d = 1.526 Å, rel. 24.1

Crystal structure
Cell: 10.639 5.988 10.172 Å, 90.00 90.21 90.00°
Space group Cm (No. 8)
Inequivalent atoms, fractional coordinates:
Li  0.000  0.000  0.000 [2 per cell]
Li  0.008  0.000  0.498 [2 per cell]
Li  0.172  0.500  0.586 [2 per cell]
Li  0.342  0.000  0.090 [2 per cell]
Ti  0.331  0.500  0.264 [2 per cell]
Ti  0.412  0.252  0.767 [4 per cell]
Cr  0.094  0.251  0.278 [4 per cell]
Cr  0.174  0.000  0.778 [2 per cell]
Te  0.152  0.500  0.995 [2 per cell]
Te  0.347  0.000  0.489 [2 per cell]
O  0.002  0.000  0.186 [2 per cell]
O  0.008  0.000  0.681 [2 per cell]
O  0.027  0.500  0.151 [2 per cell]
O  0.072  0.253  0.901 [4 per cell]
O  0.162  0.000  0.389 [2 per cell]
O  0.180  0.500  0.379 [2 per cell]
O  0.255  0.268  0.170 [4 per cell]
O  0.275  0.248  0.656 [4 per cell]
O  0.345  0.000  0.875 [2 per cell]
O  0.357  0.500  0.876 [2 per cell]
O  0.431  0.255  0.390 [4 per cell]
O  0.490  0.000  0.653 [2 per cell]



Record 6
This entry pairs a crystal structure of BaMnAlCuO5 with its theoretical powder diffractogram. Radiation: Cu Kα (λ = 1.5418 Å). Structure: DFT lattice parameters and positions (GGA+U).

Main lines, low angle first (2θ from 10° to 90°):
2θ = 10.83°, d = 8.172 Å, rel. 15.5; 2θ = 26.38°, d = 3.379 Å, rel. 40.8; 2θ = 32.59°, d = 2.747 Å, rel. 100.0; 2θ = 32.88°, d = 2.724 Å, rel. 24.9; 2θ = 34.17°, d = 2.624 Å, rel. 38.9; 2θ = 35.94°, d = 2.499 Å, rel. 19.8; 2θ = 48.15°, d = 1.890 Å, rel. 12.4; 2θ = 49.09°, d = 1.856 Å, rel. 31.7; 2θ = 57.14°, d = 1.612 Å, rel. 16.5; 2θ = 60.18°, d = 1.538 Å, rel. 33.0; 2θ = 60.36°, d = 1.534 Å, rel. 14.7; 2θ = 62.05°, d = 1.496 Å, rel. 11.1

Crystal structure
Cell: 3.711 3.711 8.172 Å, 90.00 90.00 90.00°
Space group P4mm (No. 99)
Inequivalent atoms, fractional coordinates:
Ba  0.000  0.000  0.000 [1 per cell]
Mn  0.500  0.500  0.675 [1 per cell]
Al  0.000  0.000  0.455 [1 per cell]
Cu  0.500  0.500  0.264 [1 per cell]
O  0.000  0.500  0.302 [2 per cell]
O  0.000  0.500  0.601 [2 per cell]
O  0.500  0.500  0.924 [1 per cell]



Please write out number 4 again, unchanged.
This entry pairs a crystal structure of Li9Mn7O16 with its theoretical powder diffractogram. Radiation: Cu Kα (λ = 1.5418 Å). Structure: DFT lattice parameters and positions (GGA+U).

Main lines, low angle first (2θ from 10° to 90°):
2θ = 18.24°, d = 4.863 Å, rel. 100.0; 2θ = 33.98°, d = 2.638 Å, rel. 18.4; 2θ = 36.17°, d = 2.484 Å, rel. 11.9; 2θ = 36.33°, d = 2.473 Å, rel. 12.6; 2θ = 40.82°, d = 2.211 Å, rel. 35.6; 2θ = 44.17°, d = 2.050 Å, rel. 27.7; 2θ = 44.20°, d = 2.049 Å, rel. 27.5; 2θ = 61.37°, d = 1.511 Å, rel. 8.5; 2θ = 61.68°, d = 1.504 Å, rel. 8.4; 2θ = 61.78°, d = 1.502 Å, rel. 8.3; 2θ = 62.04°, d = 1.496 Å, rel. 8.2; 2θ = 64.86°, d = 1.438 Å, rel. 7.3

Crystal structure
Cell: 5.050 6.060 9.797 Å, 84.05 86.25 86.97°
Space group P-1 (No. 2)
Inequivalent atoms, fractional coordinates:
Li  0.000  0.000  0.000 [1 per cell]
Li  0.121  0.182  0.244 [2 per cell]
Li  0.122  0.692  0.247 [2 per cell]
Li  0.370  0.559  0.753 [2 per cell]
Li  0.371  0.066  0.752 [2 per cell]
Mn  0.000  0.500  0.000 [1 per cell]
Mn  0.250  0.375  0.500 [2 per cell]
Mn  0.250  0.875  0.500 [2 per cell]
Mn  0.499  0.241  0.001 [2 per cell]
O  0.053  0.078  0.619 [2 per cell]
O  0.053  0.580  0.617 [2 per cell]
O  0.184  0.750  0.895 [2 per cell]
O  0.193  0.293  0.887 [2 per cell]
O  0.307  0.466  0.111 [2 per cell]
O  0.338  0.971  0.116 [2 per cell]
O  0.446  0.670  0.383 [2 per cell]
O  0.448  0.171  0.383 [2 per cell]